Record 1
Ac2Ho15Tm2: computed X-ray powder pattern (Cu Kα (weighted mean of Kα1 and Kα2)), based on a crystal structure in Alexandria, relaxed with GGA-PBE.
Intensities are scaled so that the largest is 1000.

Principal peaks in the range 2θ from 15° to 90°, low angle first:
2theta, intensity
27.30, 439
27.52, 463
30.40, 360
31.32, 616
31.52, 1000
31.88, 694
35.44, 917
54.72, 334
56.46, 190
56.81, 359

Structure:
Unit cell a=8.752 b=8.752 c=8.752 alpha=79.79 beta=79.79 gamma=79.79
Positions (direct):
Ac1 0.113 0.113 0.113
Ac2 0.887 0.887 0.887
Ho1 0.000 0.000 0.500
Ho2 0.000 0.309 0.691
Ho3 0.000 0.500 0.000
Ho4 0.000 0.691 0.309
Ho5 0.156 0.629 0.629
Ho6 0.309 0.000 0.691
Ho7 0.309 0.691 0.000
Ho8 0.371 0.371 0.844
Ho9 0.371 0.844 0.371
Ho10 0.500 0.000 0.000
Ho11 0.629 0.156 0.629
Ho12 0.629 0.629 0.156
Ho13 0.691 0.000 0.309
Ho14 0.691 0.309 0.000
Ho15 0.844 0.371 0.371
Tm1 0.330 0.330 0.330
Tm2 0.670 0.670 0.670


Record 2
AcHo3Tm8: computed X-ray powder pattern (Cu Kα (weighted mean of Kα1 and Kα2)), based on a crystal structure in Alexandria, relaxed with GGA-PBE.
Intensities are scaled so that the largest is 1000.

Principal peaks in the range 2θ from 15° to 90°, low angle first:
2theta, intensity
16.10, 123
22.53, 123
31.12, 112
31.61, 1000
32.51, 152
32.64, 258
36.28, 295
52.39, 153
56.29, 245
66.01, 192

Structure:
Unit cell a=8.653 b=8.653 c=8.653 alpha=137.48 beta=98.37 gamma=96.75
Positions (direct):
Ac1 0.000 0.000 0.000
Ho1 0.266 0.500 0.766
Ho2 0.500 0.000 0.500
Ho3 0.734 0.500 0.234
Tm1 0.078 0.826 0.252
Tm2 0.264 0.020 0.756
Tm3 0.264 0.508 0.244
Tm4 0.427 0.174 0.252
Tm5 0.573 0.826 0.748
Tm6 0.736 0.492 0.756
Tm7 0.736 0.980 0.244
Tm8 0.922 0.174 0.748


Record 3
AcHo2Tm4: computed X-ray powder pattern (Cu Kα (weighted mean of Kα1 and Kα2)), based on a crystal structure in Alexandria, relaxed with GGA-PBE.
Intensities are scaled so that the largest is 1000.

Principal peaks in the range 2θ from 15° to 90°, low angle first:
2theta, intensity
28.34, 183
28.87, 347
30.42, 351
30.90, 409
31.44, 1000
32.30, 287
32.48, 370
33.65, 244
33.81, 345
35.59, 191

Structure:
Unit cell a=6.541 b=8.861 c=9.232 alpha=72.28 beta=71.79 gamma=69.13
Positions (direct):
Ac1 0.000 0.000 0.000
Ac2 0.354 0.084 0.217
Ho1 0.005 0.826 0.453
Ho2 0.022 0.538 0.096
Ho3 0.639 0.599 0.447
Ho4 0.901 0.171 0.589
Tm1 0.210 0.431 0.455
Tm2 0.290 0.708 0.760
Tm3 0.390 0.298 0.807
Tm4 0.435 0.663 0.128
Tm5 0.457 0.039 0.575
Tm6 0.718 0.852 0.838
Tm7 0.728 0.275 0.257
Tm8 0.815 0.456 0.822


Record 4
Ac14HoTm: computed X-ray powder pattern (Cu Kα (weighted mean of Kα1 and Kα2)), based on a crystal structure in Alexandria, relaxed with GGA-PBE.
Intensities are scaled so that the largest is 1000.

Principal peaks in the range 2θ from 15° to 90°, low angle first:
2theta, intensity
27.77, 1000
32.04, 172
32.24, 343
46.09, 257
46.23, 129
54.54, 155
54.79, 315
57.36, 136
74.22, 126
85.58, 92

Structure:
Unit cell a=11.174 b=7.855 c=7.855 alpha=90.00 beta=90.00 gamma=90.00
Positions (direct):
Ac1 0.000 0.000 0.000
Ac2 0.000 0.001 0.500
Ac3 0.000 0.500 0.001
Ac4 0.000 0.500 0.500
Ac5 0.256 0.750 0.750
Ac6 0.257 0.250 0.750
Ac7 0.257 0.750 0.250
Ac8 0.258 0.250 0.250
Ac9 0.500 0.000 0.501
Ac10 0.500 0.501 0.000
Ac11 0.742 0.250 0.250
Ac12 0.743 0.250 0.750
Ac13 0.743 0.750 0.250
Ac14 0.744 0.750 0.750
Ho1 0.500 0.000 0.000
Tm1 0.500 0.500 0.500


What did the second record say?
AcHo3Tm8: computed X-ray powder pattern (Cu Kα (weighted mean of Kα1 and Kα2)), based on a crystal structure in Alexandria, relaxed with GGA-PBE.
Intensities are scaled so that the largest is 1000.

Principal peaks in the range 2θ from 15° to 90°, low angle first:
2theta, intensity
16.10, 123
22.53, 123
31.12, 112
31.61, 1000
32.51, 152
32.64, 258
36.28, 295
52.39, 153
56.29, 245
66.01, 192

Structure:
Unit cell a=8.653 b=8.653 c=8.653 alpha=137.48 beta=98.37 gamma=96.75
Positions (direct):
Ac1 0.000 0.000 0.000
Ho1 0.266 0.500 0.766
Ho2 0.500 0.000 0.500
Ho3 0.734 0.500 0.234
Tm1 0.078 0.826 0.252
Tm2 0.264 0.020 0.756
Tm3 0.264 0.508 0.244
Tm4 0.427 0.174 0.252
Tm5 0.573 0.826 0.748
Tm6 0.736 0.492 0.756
Tm7 0.736 0.980 0.244
Tm8 0.922 0.174 0.748